# 1
Calculated X-ray diffraction stick pattern
Compound: Pr4Dy
Radiation: λ = 1.5418 Å (Cu Kα)
Structure: a DFT-relaxed cell (GGA-PBE, Alexandria)

Atomic structure:
```
data_Pr4Dy
_chemical_formula_sum 'Pr4 Dy1'
_symmetry_space_group_name_H-M 'P 1'
_symmetry_Int_Tables_number 1
_cell_length_a 15.1575
_cell_length_b 15.1575
_cell_length_c 15.1575
_cell_angle_alpha 13.95
_cell_angle_beta 13.95
_cell_angle_gamma 13.95
loop_
_symmetry_equiv_pos_as_xyz
'x,y,z'
loop_
_atom_site_label
_atom_site_fract_x
_atom_site_fract_y
_atom_site_fract_z
Pr1 0.1017 0.1017 0.1017
Pr2 0.2996 0.2996 0.2996
Pr3 0.7004 0.7004 0.7004
Pr4 0.8983 0.8983 0.8983
Dy1 0.5000 0.5000 0.5000
```

Most intense lines, 5 to 70 degrees two-theta, in order of rising 2θ:
Position (°2θ), Rel. int.
5.89, 1
29.74, 100
34.48, 51
49.55, 36
58.87, 43
61.76, 12

# 2
Calculated X-ray diffraction stick pattern
Compound: U3Tl3HgTe8
Radiation: λ = 1.5418 Å (Cu Kα)
Structure: a DFT-relaxed cell (GGA-PBE, Alexandria)

Atomic structure:
```
data_U3Tl3HgTe8
_chemical_formula_sum 'U3 Tl3 Hg1 Te8'
_symmetry_space_group_name_H-M 'P 1'
_symmetry_Int_Tables_number 1
_cell_length_a 8.6944
_cell_length_b 8.7222
_cell_length_c 9.4116
_cell_angle_alpha 65.20
_cell_angle_beta 65.17
_cell_angle_gamma 64.33
loop_
_symmetry_equiv_pos_as_xyz
'x,y,z'
loop_
_atom_site_label
_atom_site_fract_x
_atom_site_fract_y
_atom_site_fract_z
U1 0.0000 0.0000 0.0000
U2 0.0000 0.5000 0.0000
U3 0.5000 0.0000 0.0000
Tl1 0.0000 0.5000 0.5000
Tl2 0.5000 0.0000 0.5000
Tl3 0.5000 0.5000 0.5000
Hg1 0.5000 0.5000 0.0000
Te1 0.2044 0.7609 0.7726
Te2 0.2376 0.7976 0.2279
Te3 0.2410 0.2401 0.7825
Te4 0.2833 0.2830 0.1976
Te5 0.7167 0.7170 0.8024
Te6 0.7590 0.7599 0.2175
Te7 0.7624 0.2024 0.7721
Te8 0.7956 0.2391 0.2274
```

Most intense lines, 5 to 70 degrees two-theta, in order of rising 2θ:
Position (°2θ), Rel. int.
10.82, 16
27.18, 100
27.87, 44
36.92, 38
38.82, 38
41.55, 16
41.68, 15
44.33, 11
56.06, 12
63.37, 13

# 3
Calculated X-ray diffraction stick pattern
Compound: HoSc2Cd2
Radiation: λ = 1.5418 Å (Cu Kα)
Structure: a DFT-relaxed cell (GGA-PBE, Alexandria)

Atomic structure:
```
data_HoSc2Cd2
_chemical_formula_sum 'Ho2 Sc4 Cd4'
_symmetry_space_group_name_H-M 'P 1'
_symmetry_Int_Tables_number 1
_cell_length_a 3.5570
_cell_length_b 5.1403
_cell_length_c 13.3246
_cell_angle_alpha 90.00
_cell_angle_beta 97.67
_cell_angle_gamma 90.00
loop_
_symmetry_equiv_pos_as_xyz
'x,y,z'
loop_
_atom_site_label
_atom_site_fract_x
_atom_site_fract_y
_atom_site_fract_z
Ho1 0.1510 0.2500 0.3008
Ho2 0.8490 0.7500 0.6992
Sc1 0.0469 0.7500 0.0932
Sc2 0.2373 0.7500 0.4748
Sc3 0.7627 0.2500 0.5252
Sc4 0.9531 0.2500 0.9068
Cd1 0.3579 0.2500 0.7167
Cd2 0.4527 0.7500 0.9050
Cd3 0.5473 0.2500 0.0950
Cd4 0.6421 0.7500 0.2833
```

Most intense lines, 5 to 70 degrees two-theta, in order of rising 2θ:
Position (°2θ), Rel. int.
13.41, 19
30.75, 11
33.94, 25
34.91, 26
35.07, 100
49.48, 17
51.38, 8
61.47, 14
62.70, 17
63.62, 9